Theoretical powder XRD pattern
Compound: Ca4In
Radiation: CuKα
Structure: a DFT-relaxed cell (PBE, Alexandria)

Structure:
a b c (Å): 6.2926 6.2926 6.2926
angles (deg): 100.92 100.92 128.40
Positions (direct):
Ca1 0.1152 0.7021 0.8173
Ca2 0.2979 0.1152 0.4130
Ca3 0.7021 0.8848 0.5870
Ca4 0.8848 0.2979 0.1827
In1 0.5000 0.5000 0.0000

Main lines, sorted by position (10 to 90 degrees two-theta):
two_theta  I/Imax
19.63  19
29.80  100
32.70  19
35.43  32
48.98  24
60.17  24

Theoretical powder XRD pattern
Compound: K2MgGaBr5
Radiation: CuKα
Structure: a DFT-relaxed cell (PBE, Alexandria)

Structure:
a b c (Å): 9.6813 9.6813 15.3163
angles (deg): 90.00 90.00 154.65
Positions (direct):
K1 0.0762 0.9238 0.5000
K2 0.1381 0.8619 0.1551
K3 0.8619 0.1381 0.6551
K4 0.9238 0.0762 0.0000
Mg1 0.2331 0.7669 0.8915
Mg2 0.7669 0.2331 0.3915
Ga1 0.4470 0.5530 0.3056
Ga2 0.5530 0.4470 0.8056
Br1 0.0975 0.9025 0.9327
Br2 0.2491 0.7509 0.5114
Br3 0.2934 0.7066 0.2743
Br4 0.3668 0.6332 0.8448
Br5 0.4967 0.5033 0.6244
Br6 0.5033 0.4967 0.1244
Br7 0.6332 0.3668 0.3448
Br8 0.7066 0.2934 0.7743
Br9 0.7509 0.2491 0.0114
Br10 0.9025 0.0975 0.4327

Main lines, sorted by position (10 to 90 degrees two-theta):
two_theta  I/Imax
24.42  80
27.72  100
30.69  78
31.81  75
32.24  56
42.56  55

Theoretical powder XRD pattern
Compound: SmFeGe2Rh
Radiation: CuKα
Structure: a DFT-relaxed cell (PBE, Alexandria)

Structure:
a b c (Å): 5.8615 5.8615 5.8615
angles (deg): 138.68 138.68 59.87
Positions (direct):
Sm1 0.0000 0.0000 0.0000
Fe1 0.7500 0.2500 0.5000
Ge1 0.3715 0.3715 0.0000
Ge2 0.6285 0.6285 0.0000
Rh1 0.2500 0.7500 0.5000

Main lines, sorted by position (10 to 90 degrees two-theta):
two_theta  I/Imax
34.22  77
35.41  100
43.77  59
50.01  23
56.70  36
74.97  23

Theoretical powder XRD pattern
Compound: La3Co2S7
Radiation: CuKα
Structure: a DFT-relaxed cell (PBE, Alexandria)

Structure:
a b c (Å): 10.0325 10.0325 6.1331
angles (deg): 90.00 90.00 120.00
Positions (direct):
La1 0.1551 0.3863 0.0000
La2 0.2312 0.8449 0.0000
La3 0.3863 0.2312 0.5000
La4 0.6137 0.7688 0.0000
La5 0.7688 0.1551 0.5000
La6 0.8449 0.6137 0.5000
Co1 0.0000 0.0000 0.3298
Co2 0.0000 0.0000 0.8298
Co3 0.3333 0.6667 0.4058
Co4 0.6667 0.3333 0.9058
S1 0.0822 0.2020 0.5844
S2 0.0929 0.5746 0.2789
S3 0.1198 0.9178 0.5844
S4 0.2020 0.1198 0.0844
S5 0.3333 0.6667 0.7696
S6 0.4254 0.5183 0.2789
S7 0.4817 0.9071 0.2789
S8 0.5183 0.0929 0.7789
S9 0.5746 0.4817 0.7789
S10 0.6667 0.3333 0.2696
S11 0.7980 0.8802 0.5844
S12 0.8802 0.0822 0.0844
S13 0.9071 0.4254 0.7789
S14 0.9178 0.7980 0.0844

Main lines, sorted by position (10 to 90 degrees two-theta):
two_theta  I/Imax
17.70  34
25.12  100
34.25  60
35.82  59
40.23  56
48.00  37

Theoretical powder XRD pattern
Compound: Pr5SmCd4
Radiation: CuKα
Structure: a DFT-relaxed cell (PBE, Alexandria)

Structure:
a b c (Å): 3.8322 3.8322 20.7775
angles (deg): 90.00 90.00 90.00
Positions (direct):
Pr1 0.0000 0.0000 0.0000
Pr2 0.0000 0.0000 0.1897
Pr3 0.0000 0.0000 0.3808
Pr4 0.0000 0.0000 0.6192
Pr5 0.0000 0.0000 0.8103
Sm1 0.5000 0.5000 0.5000
Cd1 0.5000 0.5000 0.0953
Cd2 0.5000 0.5000 0.2869
Cd3 0.5000 0.5000 0.7131
Cd4 0.5000 0.5000 0.9047

Main lines, sorted by position (10 to 90 degrees two-theta):
two_theta  I/Imax
31.76  100
33.06  51
47.45  19
55.75  13
58.23  35
79.01  8

Theoretical powder XRD pattern
Compound: La8Ce
Radiation: CuKα
Structure: a DFT-relaxed cell (PBE, Alexandria)

Structure:
a b c (Å): 8.2565 8.2565 8.2565
angles (deg): 95.67 95.67 143.36
Positions (direct):
La1 0.0000 0.3255 0.3255
La2 0.0000 0.6745 0.6745
La3 0.3255 0.0000 0.3255
La4 0.3402 0.3402 0.6804
La5 0.3402 0.6598 0.0000
La6 0.6598 0.3402 0.0000
La7 0.6598 0.6598 0.3196
La8 0.6745 0.0000 0.6745
Ce1 0.0000 0.0000 0.0000

Main lines, sorted by position (10 to 90 degrees two-theta):
two_theta  I/Imax
29.68  100
34.32  34
34.56  17
49.50  24
58.63  28
58.94  15